(1)
Theoretical powder XRD pattern
Compound: CeCuAs3
Radiation: Cu Kα (weighted mean of Kα1 and Kα2)
Structure: a crystal structure in Alexandria, relaxed with PBE
Intensities are scaled so that the largest is 100.

Most intense lines, 2θ from 10° to 90°, in order of rising 2θ:
Position (°2θ)	d [Å]	intensity	hkl
23.14	3.844	23	1 1 1
26.46	3.369	32	2 1 1
34.52	2.599	50	2 0 2
34.72	2.584	93	2 2 0
37.06	2.425	100	5 0 0
38.04	2.365	20	2 1 2
38.42	2.343	33	3 0 2
38.61	2.332	23	3 2 0
41.66	2.168	21	3 1 2
44.71	2.027	46	0 2 2
52.86	1.732	21	7 0 0
76.07	1.251	21	2 4 2

Cell: 12.116 5.713 5.753 Å, 90.00 90.00 90.00°
Space group Pbcm (No. 57)
Unique sites:
1 Ce 0.190 0.004 0.250 [4 per cell]
2 Cu 0.402 0.750 0.000 [4 per cell]
3 As 0.001 0.750 0.000 [4 per cell]
4 As 0.270 0.503 0.250 [4 per cell]
5 As 0.431 0.183 0.250 [4 per cell]

=====

(2)
Theoretical powder XRD pattern
Compound: Sc5Au2
Radiation: Cu Kα (weighted mean of Kα1 and Kα2)
Structure: a crystal structure in Alexandria, relaxed with PBE
Intensities are scaled so that the largest is 100.

Most intense lines, 2θ from 10° to 90°, in order of rising 2θ:
Position (°2θ)	d [Å]	intensity	hkl
22.91	3.881	100	1 2 1
25.25	3.527	19	0 4 0
26.06	3.419	14	2 0 0
28.17	3.168	17	0 0 2
36.60	2.455	40	2 4 0
38.19	2.357	43	0 4 2
38.75	2.324	38	2 0 2
43.11	2.098	27	1 6 1
44.13	2.052	29	3 2 1
46.82	1.940	29	1 2 3
58.23	1.584	19	0 0 4
70.79	1.331	11	2 4 4

Cell: 6.839 14.110 6.336 Å, 90.00 90.00 90.00°
Space group Ibam (No. 72)
Unique sites:
1 Sc 0.000 0.000 0.250 [4 per cell]
2 Sc 0.000 0.229 0.250 [8 per cell]
3 Sc 0.151 0.413 0.000 [8 per cell]
4 Au 0.240 0.378 0.500 [8 per cell]

=====

(3)
Theoretical powder XRD pattern
Compound: Li3B8C8
Radiation: Cu Kα (weighted mean of Kα1 and Kα2)
Structure: a crystal structure in Alexandria, relaxed with PBE
Intensities are scaled so that the largest is 100.

Most intense lines, 2θ from 10° to 90°, in order of rising 2θ:
Position (°2θ)	d [Å]	intensity	hkl
11.89	7.441	16	0 0 1
23.92	3.720	100	0 0 2
30.72	2.910	3	0 1 2
38.55	2.336	11	2 0 0
40.48	2.228	3	0 2 1
45.87	1.978	28	0 2 2
48.97	1.860	11	0 0 4
69.74	1.348	10	2 2 0
74.90	1.268	9	2 2 2
87.56	1.114	3	4 0 2
89.47	1.095	3	0 2 6
89.84	1.092	10	2 2 4

Cell: 5.3940 5.3940 7.4405 Å, 90.00 90.00 120.00°
Space group P-3m1 (No. 164)
Unique sites:
1 Li 0.0000 0.5000 0.0000 [3 per cell]
2 B 0.1662 0.3324 0.7613 [6 per cell]
3 B 0.3333 0.6667 0.2672 [2 per cell]
4 C 0.1670 0.3341 0.2485 [6 per cell]
5 C 0.3333 0.6667 0.7832 [2 per cell]

=====

(4)
Theoretical powder XRD pattern
Compound: Na2BeCuAs2
Radiation: Cu Kα (weighted mean of Kα1 and Kα2)
Structure: a crystal structure in Alexandria, relaxed with PBE
Intensities are scaled so that the largest is 100.

Most intense lines, 2θ from 10° to 90°, in order of rising 2θ:
Position (°2θ)	d [Å]	intensity	hkl
12.45	7.111	100	0 2 0
17.11	5.183	25	1 1 0
24.67	3.609	19	1 3 0
25.96	3.432	97	1 2 1
32.46	2.759	19	0 0 2
34.05	2.633	73	1 4 1
36.91	2.435	20	1 1 2
41.19	2.191	63	2 4 0
41.43	2.180	56	0 4 2
44.68	2.028	24	1 6 1
46.34	1.959	62	2 0 2
56.88	1.619	26	1 8 1

Cell: 5.566 14.221 5.517 Å, 90.00 90.00 90.00°
Space group Ibam (No. 72)
Unique sites:
1 Na 0.231 0.176 0.000 [8 per cell]
2 Be 0.000 0.500 0.250 [4 per cell]
3 Cu 0.000 0.000 0.250 [4 per cell]
4 As 0.228 0.399 0.000 [8 per cell]